This entry pairs a crystal structure of Tm3Lu with its calculated PXRD pattern. Radiation: λ = 1.5418 Å (Cu Kα). Structure: a crystal structure in the Materials Project, relaxed with PBE.
Peak positions follow from Bragg's law for the DFT cell and can differ from measured ones.

Main lines, in order of rising 2θ (10 to 80 degrees two-theta):
Position (°2θ)	I/Imax
29.0	23.9
32.4	23.9
33.3	100.0
44.1	15.5
51.4	19.8
58.4	20.3
62.1	22.5
62.7	16.4

Structure:
a = 7.108 Å, b = 7.108 Å, c = 5.520 Å
α = 90.00°, β = 90.00°, γ = 120.00°
Element x y z (fractional)
Tm  0.167  0.333  0.250
Tm  0.167  0.833  0.250
Tm  0.333  0.167  0.750
Tm  0.667  0.833  0.250
Tm  0.833  0.167  0.750
Tm  0.833  0.667  0.750
Lu  0.333  0.667  0.750
Lu  0.667  0.333  0.250